(1)
Structure and theoretical powder XRD pattern of Ho4Tm3In2 (the GGA-PBE geometry in Alexandria; Cu Ka).
Lines closer than 0.1° are merged.

Peak list (10 most intense, 2θ from 10° to 90°, by angle)
d = 2.783 Å, I = 100, (3 1 -2); d = 2.764 Å, I = 98, (3 1 1); d = 2.673 Å, I = 42, (0 0 3); d = 2.614 Å, I = 45, (0 2 0); d = 2.069 Å, I = 20, (6 0 -1); d = 1.869 Å, I = 30, (0 2 3); d = 1.622 Å, I = 19, (6 2 -1); d = 1.567 Å, I = 14, (3 1 -5); d = 1.540 Å, I = 17, (3 3 -2); d = 1.536 Å, I = 17, (3 3 1)

Structural model:
Cell: 12.413 5.228 8.301 Å, 90.00 105.01 90.00°
Space group C2/m (No. 12)
Asymmetric unit:
Ho 0.120 0.000 0.158
Ho 0.168 0.500 0.467
Tm 0.000 0.000 0.500
Tm 0.076 0.500 0.846
In 0.212 0.000 0.817

***

(2)
Structure and theoretical powder XRD pattern of HoTm5In5 (the GGA-PBE geometry in Alexandria; Cu Ka).
Lines closer than 0.1° are merged.

Peak list (10 most intense, 2θ from 10° to 90°, by angle)
d = 2.989 Å, I = 41, (2 0 2); d = 2.852 Å, I = 100, (0 2 0); d = 2.814 Å, I = 36, (1 1 2); d = 2.697 Å, I = 24, (5 1 -1); d = 2.688 Å, I = 92, (3 1 -2); d = 2.677 Å, I = 53, (6 0 0); d = 2.449 Å, I = 45, (3 1 2); d = 2.064 Å, I = 29, (2 2 2); d = 1.952 Å, I = 42, (6 2 0); d = 1.637 Å, I = 24, (8 0 2)

Structural model:
Cell: 16.199 5.704 6.840 Å, 90.00 97.40 90.00°
Space group C2/m (No. 12)
Asymmetric unit:
Ho 0.000 0.000 0.000
Tm 0.000 0.000 0.500
Tm 0.129 0.500 0.427
Tm 0.176 0.500 0.941
In 0.000 0.500 0.000
In 0.170 0.000 0.268
In 0.177 0.000 0.715

***

(3)
Structure and theoretical powder XRD pattern of HoTm7In4 (the GGA-PBE geometry in Alexandria; Cu Ka).
Lines closer than 0.1° are merged.

Peak list (10 most intense, 2θ from 10° to 90°, by angle)
d = 3.083 Å, I = 42, (4 0 -3); d = 2.997 Å, I = 16, (4 0 0); d = 2.941 Å, I = 47, (1 1 2); d = 2.877 Å, I = 37, (3 1 -3); d = 2.806 Å, I = 100, (0 2 0); d = 2.666 Å, I = 27, (3 1 1); d = 2.460 Å, I = 48, (5 1 -1); d = 2.447 Å, I = 17, (5 1 -3); d = 2.075 Å, I = 28, (4 2 -3); d = 1.986 Å, I = 16, (2 2 2)

Structural model:
Cell: 14.401 5.609 10.230 Å, 90.00 123.64 90.00°
Space group C2/m (No. 12)
Asymmetric unit:
Ho 0.000 0.000 0.000
Tm 0.000 0.500 0.000
Tm 0.065 0.000 0.400
Tm 0.212 0.000 0.877
Tm 0.226 0.500 0.670
In 0.060 0.500 0.753
In 0.181 0.500 0.336

***

(4)
Structure and theoretical powder XRD pattern of Ho5Tm2In2 (the GGA-PBE geometry in Alexandria; Cu Ka).
Lines closer than 0.1° are merged.

Peak list (10 most intense, 2θ from 10° to 90°, by angle)
d = 3.209 Å, I = 30, (4 1 1); d = 3.062 Å, I = 37, (0 3 1); d = 3.042 Å, I = 40, (1 1 2); d = 3.019 Å, I = 66, (5 1 0); d = 2.897 Å, I = 32, (3 3 0); d = 2.756 Å, I = 33, (0 2 2); d = 2.602 Å, I = 100, (0 4 0); d = 2.507 Å, I = 25, (4 0 2); d = 2.418 Å, I = 34, (4 3 1); d = 2.373 Å, I = 25, (6 1 1)

Structural model:
Cell: 15.772 10.416 6.495 Å, 90.00 90.00 90.00°
Space group Ima2 (No. 46)
Asymmetric unit:
Ho 0.055 0.244 0.000
Ho 0.151 0.694 0.643
Ho 0.250 0.110 0.993
Tm 0.000 0.000 0.297
Tm 0.250 0.017 0.484
In 0.089 0.528 0.261

***

(5)
Structure and theoretical powder XRD pattern of Ho3Tm2In7 (the GGA-PBE geometry in Alexandria; Cu Ka).
Lines closer than 0.1° are merged.

Peak list (10 most intense, 2θ from 10° to 90°, by angle)
d = 4.444 Å, I = 8, (0 2 1); d = 2.921 Å, I = 17, (1 5 1); d = 2.637 Å, I = 100, (1 7 1); d = 2.500 Å, I = 8, (0 12 0); d = 2.405 Å, I = 23, (2 0 0); d = 2.327 Å, I = 21, (0 0 2); d = 2.143 Å, I = 8, (0 14 0); d = 1.672 Å, I = 15, (2 0 2); d = 1.429 Å, I = 25, (3 7 1); d = 1.396 Å, I = 14, (1 7 3)

Structural model:
Cell: 4.811 29.997 4.653 Å, 90.00 90.00 90.00°
Space group Cmmm (No. 65)
Asymmetric unit:
Ho 0.000 0.000 0.000
Ho 0.000 0.147 0.000
Tm 0.000 0.341 0.500
In 0.000 0.077 0.500
In 0.000 0.225 0.500
In 0.000 0.422 0.000
In 0.000 0.500 0.500

***

(6)
Structure and theoretical powder XRD pattern of HoTm2In2 (the GGA-PBE geometry in Alexandria; Cu Ka).
Lines closer than 0.1° are merged.

Peak list (10 most intense, 2θ from 10° to 90°, by angle)
d = 2.992 Å, I = 16, (0 2 2); d = 2.728 Å, I = 100, (1 5 0); d = 2.713 Å, I = 87, (1 1 2); d = 2.638 Å, I = 54, (2 0 0); d = 2.509 Å, I = 45, (0 4 2); d = 2.445 Å, I = 16, (1 3 2); d = 1.818 Å, I = 26, (2 4 2); d = 1.540 Å, I = 20, (3 5 0); d = 1.537 Å, I = 17, (3 1 2); d = 1.389 Å, I = 16, (1 5 4)

Structural model:
Cell: 5.277 15.938 6.455 Å, 90.00 90.00 90.00°
Space group Cmc2_1 (No. 36)
Asymmetric unit:
Ho 0.000 0.099 0.000
Tm 0.000 0.304 0.230
Tm 0.000 0.476 0.799
In 0.000 0.101 0.513
In 0.000 0.287 0.720